(1)
Starting from a GGA-PBE-relaxed structure, the powder diffractogram of RbTl5Cd2 was calculated for Cu Kα X-rays.

The 10 most intense peaks (5 to 70 degrees two-theta), sorted by position:
2θ/deg  d (Å)  I_rel  index
12.5  7.106  31.0  0 1 1
28.2  3.159  100.0  1 0 3
35.7  2.513  34.9  0 2 4
35.9  2.503  53.1  1 3 0
36.3  2.475  24.4  2 0 0
38.0  2.369  12.3  0 3 3
51.8  1.764  24.2  2 2 4
59.7  1.549  11.4  1 2 7
60.5  1.531  12.1  3 0 3
64.3  1.448  12.7  1 5 4

Cell lengths 4.951, 8.699, 12.317 Å; angles 90.00, 90.00, 90.00 degrees
Space group Immm (No. 71)
Symmetry-distinct sites (fractional):
Rb: 0.000 0.000 0.000
Tl: 0.000 0.193 0.362
Tl: 0.000 0.500 0.000
Cd: 0.000 0.500 0.248

=====

(2)
Starting from a GGA-PBE-relaxed structure, the powder diffractogram of Rb3Tl6Cd2 was calculated for Cu Kα X-rays.

The 10 most intense peaks (5 to 70 degrees two-theta), sorted by position:
2θ/deg  d (Å)  I_rel  index
11.1  7.978  81.2  0 0 4
27.3  3.263  65.0  1 1 4
30.1  2.968  100.0  1 1 6
30.8  2.903  48.7  1 0 9
33.7  2.663  43.8  1 1 8
35.5  2.529  82.2  2 0 0
37.8  2.381  38.3  1 1 10
47.7  1.907  28.8  2 1 9
51.1  1.788  29.3  2 2 0
60.4  1.532  28.5  3 1 6

Cell lengths 5.058, 5.058, 31.911 Å; angles 90.00, 90.00, 90.00 degrees
Space group I4/mmm (No. 139)
Symmetry-distinct sites (fractional):
Rb: 0.000 0.000 0.000
Rb: 0.000 0.000 0.203
Tl: 0.000 0.000 0.331
Tl: 0.000 0.500 0.103
Cd: 0.000 0.000 0.454

=====

(3)
Starting from a GGA-PBE-relaxed structure, the powder diffractogram of RbTl12Cd6 was calculated for Cu Kα X-rays.

The 10 most intense peaks (5 to 70 degrees two-theta), sorted by position:
2θ/deg  d (Å)  I_rel  index
27.4  3.250  100.0  1 3 1
28.8  3.104  57.2  1 1 3
32.8  2.731  53.5  3 2 1
33.3  2.693  22.0  4 1 0
33.9  2.645  76.5  0 3 3
36.2  2.484  22.5  2 3 2
37.7  2.385  29.2  0 2 4
40.5  2.228  56.5  5 0 2
51.6  1.770  24.3  3 1 5
58.3  1.583  19.1  4 4 3

Cell lengths 14.2512, 14.2512, 10.3436 Å; angles 90.00, 90.00, 120.00 degrees
Space group R-3m (No. 166, hexagonal axes)
Symmetry-distinct sites (fractional):
Rb: 0.0000 0.0000 0.0000
Tl: 0.0000 0.3839 0.5000
Tl: 0.0831 0.1662 0.3171
Cd: 0.0430 0.5215 0.2416